# 1
# Rb2AlAgCl6
Computed powder diffractogram, Cu Kα, 1.54184 Å. Input: a GGA-PBE-relaxed structure.
Kinematic intensities with the Lorentz-polarization factor, no thermal factor.

The 6 most intense peaks (2θ from 5° to 70°), low angle first:
hkl 2 2 0, d = 3.619 Å, 24.60 deg, rel. 100; hkl 2 2 2, d = 2.955 Å, 30.24 deg, rel. 40; hkl 4 0 0, d = 2.559 Å, 35.06 deg, rel. 89; hkl 4 2 2, d = 2.090 Å, 43.30 deg, rel. 42; hkl 4 4 0, d = 1.810 Å, 50.43 deg, rel. 57; hkl 6 4 2, d = 1.368 Å, 68.60 deg, rel. 24

Cell and atoms:
```
data_Rb2AlAgCl6
_chemical_formula_sum 'Rb8 Al4 Ag4 Cl24'
_cell_length_a 10.2374
_cell_length_b 10.2374
_cell_length_c 10.2374
_cell_angle_alpha 90.00
_cell_angle_beta 90.00
_cell_angle_gamma 90.00
_space_group_name_H-M_alt 'F m -3 m'
_space_group_IT_number 225
_space_group_name_Hall '-F 4 2 3'
loop_
_atom_site_label
_atom_site_fract_x
_atom_site_fract_y
_atom_site_fract_z
Rb1 0.2500 0.2500 0.2500
Al1 0.0000 0.0000 0.0000
Ag1 0.0000 0.0000 0.5000
Cl1 0.0000 0.0000 0.2304
```

=====

# 2
# AlCr4AgS8
Computed powder diffractogram, Cu Kα, 1.54184 Å. Input: a GGA-PBE-relaxed structure.
Kinematic intensities with the Lorentz-polarization factor, no thermal factor.

The 6 most intense peaks (2θ from 5° to 70°), low angle first:
hkl 1 1 1, d = 5.847 Å, 15.15 deg, rel. 23; hkl 2 2 0, d = 3.580 Å, 24.87 deg, rel. 37; hkl 3 1 1, d = 3.053 Å, 29.25 deg, rel. 100; hkl 4 0 0, d = 2.532 Å, 35.46 deg, rel. 36; hkl 5 1 1, d = 1.949 Å, 46.60 deg, rel. 49; hkl 4 4 0, d = 1.790 Å, 51.01 deg, rel. 77

Cell and atoms:
```
data_AlCr4AgS8
_chemical_formula_sum 'Al4 Cr16 Ag4 S32'
_cell_length_a 10.1270
_cell_length_b 10.1270
_cell_length_c 10.1270
_cell_angle_alpha 90.00
_cell_angle_beta 90.00
_cell_angle_gamma 90.00
_space_group_name_H-M_alt 'F -4 3 m'
_space_group_IT_number 216
_space_group_name_Hall 'F -4 2 3'
loop_
_atom_site_label
_atom_site_fract_x
_atom_site_fract_y
_atom_site_fract_z
Al1 0.0000 0.0000 0.0000
Cr1 0.1215 0.1215 0.3785
Ag1 0.2500 0.2500 0.7500
S1 0.1101 0.1101 0.6101
S2 0.1327 0.1327 0.1327
```

=====

# 3
# AlCu3Ag4O12
Computed powder diffractogram, Cu Kα, 1.54184 Å. Input: a GGA-PBE-relaxed structure.
Kinematic intensities with the Lorentz-polarization factor, no thermal factor.

The 6 most intense peaks (2θ from 5° to 70°), low angle first:
hkl 2 0 0, d = 3.853 Å, 23.08 deg, rel. 15; hkl 2 2 0, d = 2.725 Å, 32.87 deg, rel. 100; hkl 4 0 0, d = 1.927 Å, 47.17 deg, rel. 22; hkl 4 2 0, d = 1.723 Å, 53.15 deg, rel. 8; hkl 4 2 2, d = 1.573 Å, 58.69 deg, rel. 47; hkl 4 4 0, d = 1.362 Å, 68.93 deg, rel. 11

Cell and atoms:
```
data_AlCu3Ag4O12
_chemical_formula_sum 'Al2 Cu6 Ag8 O24'
_cell_length_a 7.7067
_cell_length_b 7.7067
_cell_length_c 7.7067
_cell_angle_alpha 90.00
_cell_angle_beta 90.00
_cell_angle_gamma 90.00
_space_group_name_H-M_alt 'I m -3'
_space_group_IT_number 204
_space_group_name_Hall '-I 2 2 3'
loop_
_atom_site_label
_atom_site_fract_x
_atom_site_fract_y
_atom_site_fract_z
Al1 0.0000 0.0000 0.0000
Cu1 0.0000 0.0000 0.5000
Ag1 0.2500 0.2500 0.2500
O1 0.0000 0.3090 0.1554
```

=====

# 4
# Sr2AlCu2AgO7
Computed powder diffractogram, Cu Kα, 1.54184 Å. Input: a GGA-PBE-relaxed structure.
Kinematic intensities with the Lorentz-polarization factor, no thermal factor.

The 6 most intense peaks (2θ from 5° to 70°), low angle first:
hkl 1 -1 2, d = 3.157 Å, 28.26 deg, rel. 43; hkl 1 1 2, d = 2.720 Å, 32.92 deg, rel. 78; hkl 1 1 -4, d = 2.709 Å, 33.07 deg, rel. 24; hkl 2 0 -1, d = 2.625 Å, 34.16 deg, rel. 100; hkl 0 0 5, d = 2.394 Å, 37.57 deg, rel. 41; hkl 2 -2 0, d = 1.856 Å, 49.09 deg, rel. 44

Cell and atoms:
```
data_Sr2AlCu2AgO7
_chemical_formula_sum 'Sr4 Al2 Cu4 Ag2 O14'
_cell_length_a 5.2486
_cell_length_b 5.2503
_cell_length_c 12.5112
_cell_angle_alpha 101.87
_cell_angle_beta 101.88
_cell_angle_gamma 90.09
_space_group_name_H-M_alt 'P 1'
_space_group_IT_number 1
loop_
_space_group_symop_operation_xyz
'x,y,z'
loop_
_atom_site_label
_atom_site_fract_x
_atom_site_fract_y
_atom_site_fract_z
Sr1 0.0000 0.0000 0.0000
Sr2 0.1966 0.1965 0.4014
Sr3 0.5020 0.4990 0.9999
Sr4 0.7006 0.6979 0.4012
Al1 0.3420 0.3186 0.7015
Al2 0.8574 0.8338 0.7010
Cu1 0.2873 0.7690 0.5797
Cu2 0.4172 0.8989 0.8218
Cu3 0.7838 0.2739 0.5806
Cu4 0.9117 0.4026 0.8206
Ag1 0.1112 0.5958 0.2008
Ag2 0.5875 0.0958 0.2002
O1 0.0187 0.5110 0.0251
O2 0.0894 0.0753 0.7989
O3 0.1097 0.1075 0.2005
O4 0.1117 0.0983 0.5899
O5 0.1918 0.6835 0.3767
O6 0.2223 0.5715 0.8007
O7 0.4720 0.4570 0.5994
O8 0.5074 0.0110 0.0241
O9 0.5853 0.2188 0.8101
O10 0.5917 0.6105 0.2005
O11 0.6152 0.9620 0.5999
O12 0.6805 0.1846 0.3760
O13 0.7359 0.7219 0.8099
O14 0.9664 0.6010 0.5906
```

=====

# 5
# DyAlAg2
Computed powder diffractogram, Cu Kα, 1.54184 Å. Input: a GGA-PBE-relaxed structure.
Kinematic intensities with the Lorentz-polarization factor, no thermal factor.

The 6 most intense peaks (2θ from 5° to 70°), low angle first:
hkl 1 1 1, d = 3.953 Å, 22.49 deg, rel. 25; hkl 2 2 0, d = 2.420 Å, 37.14 deg, rel. 100; hkl 3 1 1, d = 2.064 Å, 43.86 deg, rel. 13; hkl 4 0 0, d = 1.712 Å, 53.54 deg, rel. 17; hkl 3 3 1, d = 1.571 Å, 58.79 deg, rel. 6; hkl 4 2 2, d = 1.397 Å, 66.96 deg, rel. 34

Cell and atoms:
```
data_DyAlAg2
_chemical_formula_sum 'Dy4 Al4 Ag8'
_cell_length_a 6.8461
_cell_length_b 6.8461
_cell_length_c 6.8461
_cell_angle_alpha 90.00
_cell_angle_beta 90.00
_cell_angle_gamma 90.00
_space_group_name_H-M_alt 'F m -3 m'
_space_group_IT_number 225
_space_group_name_Hall '-F 4 2 3'
loop_
_atom_site_label
_atom_site_fract_x
_atom_site_fract_y
_atom_site_fract_z
Dy1 0.0000 0.0000 0.0000
Al1 0.0000 0.0000 0.5000
Ag1 0.2500 0.2500 0.2500
```

=====

# 6
# ErAlAg2
Computed powder diffractogram, Cu Kα, 1.54184 Å. Input: a GGA-PBE-relaxed structure.
Kinematic intensities with the Lorentz-polarization factor, no thermal factor.

The 6 most intense peaks (2θ from 5° to 70°), low angle first:
hkl 1 1 1, d = 3.929 Å, 22.63 deg, rel. 26; hkl 2 2 0, d = 2.406 Å, 37.37 deg, rel. 100; hkl 3 1 1, d = 2.052 Å, 44.13 deg, rel. 14; hkl 4 0 0, d = 1.702 Å, 53.88 deg, rel. 17; hkl 3 3 1, d = 1.561 Å, 59.17 deg, rel. 6; hkl 4 2 2, d = 1.389 Å, 67.41 deg, rel. 34

Cell and atoms:
```
data_ErAlAg2
_chemical_formula_sum 'Er4 Al4 Ag8'
_cell_length_a 6.8060
_cell_length_b 6.8060
_cell_length_c 6.8060
_cell_angle_alpha 90.00
_cell_angle_beta 90.00
_cell_angle_gamma 90.00
_space_group_name_H-M_alt 'F m -3 m'
_space_group_IT_number 225
_space_group_name_Hall '-F 4 2 3'
loop_
_atom_site_label
_atom_site_fract_x
_atom_site_fract_y
_atom_site_fract_z
Er1 0.0000 0.0000 0.0000
Al1 0.0000 0.0000 0.5000
Ag1 0.2500 0.2500 0.2500
```

=====

# 7
# Gd3Al7Ag2
Computed powder diffractogram, Cu Kα, 1.54184 Å. Input: a GGA-PBE-relaxed structure.
Kinematic intensities with the Lorentz-polarization factor, no thermal factor.

The 6 most intense peaks (2θ from 5° to 70°), low angle first:
hkl 0 0 6, d = 4.410 Å, 20.14 deg, rel. 37; hkl 1 0 7, d = 2.977 Å, 30.01 deg, rel. 28; hkl 1 1 0, d = 2.790 Å, 32.08 deg, rel. 85; hkl 0 1 8, d = 2.729 Å, 32.81 deg, rel. 19; hkl 1 1 6, d = 2.358 Å, 38.17 deg, rel. 100; hkl 3 0 6, d = 1.513 Å, 61.27 deg, rel. 24

Cell and atoms:
```
data_Gd3Al7Ag2
_chemical_formula_sum 'Gd9 Al21 Ag6'
_cell_length_a 5.5798
_cell_length_b 5.5798
_cell_length_c 26.4590
_cell_angle_alpha 90.00
_cell_angle_beta 90.00
_cell_angle_gamma 120.00
_space_group_name_H-M_alt 'R -3 m'
_space_group_IT_number 166
_space_group_name_Hall '-R 3 2"'
loop_
_atom_site_label
_atom_site_fract_x
_atom_site_fract_y
_atom_site_fract_z
Gd1 0.0000 0.0000 0.0000
Gd2 0.0000 0.0000 0.1420
Al1 0.0000 0.0000 0.5000
Al2 0.0054 0.5027 0.9162
Ag1 0.0000 0.0000 0.3356
```

=====

# 8
# Hf2Al3Ag
Computed powder diffractogram, Cu Kα, 1.54184 Å. Input: a GGA-PBE-relaxed structure.
Kinematic intensities with the Lorentz-polarization factor, no thermal factor.

The 6 most intense peaks (2θ from 5° to 70°), low angle first:
hkl 0 0 3, d = 4.289 Å, 20.71 deg, rel. 41; hkl 1 1 0, d = 2.667 Å, 33.60 deg, rel. 100; hkl 1 0 4, d = 2.640 Å, 33.96 deg, rel. 36; hkl 1 1 3, d = 2.265 Å, 39.80 deg, rel. 93; hkl 0 1 5, d = 2.248 Å, 40.11 deg, rel. 53; hkl 1 2 5, d = 1.445 Å, 64.49 deg, rel. 26

Cell and atoms:
```
data_Hf2Al3Ag
_chemical_formula_sum 'Hf6 Al9 Ag3'
_cell_length_a 5.3346
_cell_length_b 5.3346
_cell_length_c 12.8662
_cell_angle_alpha 90.00
_cell_angle_beta 90.00
_cell_angle_gamma 120.00
_space_group_name_H-M_alt 'R -3 m'
_space_group_IT_number 166
_space_group_name_Hall '-R 3 2"'
loop_
_atom_site_label
_atom_site_fract_x
_atom_site_fract_y
_atom_site_fract_z
Hf1 0.0000 0.0000 0.1226
Al1 0.0000 0.5000 0.0000
Ag1 0.0000 0.0000 0.5000
```

=====

# 9
# Al4InAgSe8
Computed powder diffractogram, Cu Kα, 1.54184 Å. Input: a GGA-PBE-relaxed structure.
Kinematic intensities with the Lorentz-polarization factor, no thermal factor.

The 6 most intense peaks (2θ from 5° to 70°), low angle first:
hkl 0 2 2, d = 3.296 Å, 27.06 deg, rel. 100; hkl 0 0 4, d = 2.070 Å, 43.73 deg, rel. 24; hkl 2 4 -2, d = 1.997 Å, 45.43 deg, rel. 21; hkl 2 4 2, d = 1.991 Å, 45.57 deg, rel. 20; hkl 4 2 -2, d = 1.757 Å, 52.05 deg, rel. 15; hkl 4 2 2, d = 1.749 Å, 52.31 deg, rel. 14

Cell and atoms:
```
data_Al4InAgSe8
_chemical_formula_sum 'Al8 In2 Ag2 Se16'
_cell_length_a 8.2833
_cell_length_b 10.8887
_cell_length_c 8.2780
_cell_angle_alpha 90.00
_cell_angle_beta 90.37
_cell_angle_gamma 90.00
_space_group_name_H-M_alt 'C 1 2 1'
_space_group_IT_number 5
loop_
_space_group_symop_operation_xyz
'x,y,z'
'-x,y,-z'
'x+1/2,y+1/2,z'
'-x+1/2,y+1/2,-z'
loop_
_atom_site_label
_atom_site_fract_x
_atom_site_fract_y
_atom_site_fract_z
Al1 0.0000 0.0000 0.0000
Al2 0.0000 0.4762 0.5000
Al3 0.2397 0.2387 0.2456
In1 0.0000 0.9904 0.5000
Ag1 0.0000 0.4877 0.0000
Se1 0.0012 0.8529 0.7671
Se2 0.0056 0.3506 0.7345
Se3 0.2299 0.6230 0.4983
Se4 0.2358 0.1254 0.9991
```